Diffraction record for Ba2CeCu2S6. The X-ray diffraction stick pattern is calculated, not measured: it uses a structure optimized by DFT (PBE) and Cu Kα (weighted mean of Kα1 and Kα2).
No peak broadening, texture or thermal motion is included.

Atomic structure:
Cell lengths 7.9617, 7.9617, 7.9617 Å; angles 53.40, 53.40, 53.40 degrees
Element x y z (fractional)
Ba  0.2178  0.2178  0.2178
Ba  0.7822  0.7822  0.7822
Ce  0.0000  0.0000  0.0000
Cu  0.4255  0.4255  0.4255
Cu  0.5745  0.5745  0.5745
S  0.2268  0.7509  0.7509
S  0.2491  0.2491  0.7732
S  0.2491  0.7732  0.2491
S  0.7509  0.2268  0.7509
S  0.7509  0.7509  0.2268
S  0.7732  0.2491  0.2491

Top 10 peaks for 10 to 80 degrees two-theta, low angle first:
| 2θ/deg | d/Å | intensity |
| --- | --- | --- |
| 22.57 | 3.940 | 24.3 |
| 24.89 | 3.577 | 100.0 |
| 26.14 | 3.409 | 83.8 |
| 33.85 | 2.648 | 45.1 |
| 36.40 | 2.468 | 41.8 |
| 43.84 | 2.065 | 22.0 |
| 44.60 | 2.032 | 40.6 |
| 47.45 | 1.916 | 29.3 |
| 51.06 | 1.789 | 32.0 |
| 58.26 | 1.584 | 20.8 |


Diffraction record for Na2MgPbBr6. The X-ray diffraction stick pattern is calculated, not measured: it uses a structure optimized by DFT (PBE) and Cu Kα (weighted mean of Kα1 and Kα2).
No peak broadening, texture or thermal motion is included.

Atomic structure:
Cell lengths 7.8694, 7.8694, 7.8694 Å; angles 55.96, 55.96, 55.96 degrees
Element x y z (fractional)
Na  0.0000  0.0000  0.0000
Na  0.4922  0.4922  0.4922
Mg  0.6906  0.6906  0.6906
Pb  0.1954  0.1954  0.1954
Br  0.0592  0.4377  0.7876
Br  0.3144  0.8961  0.5994
Br  0.4377  0.7876  0.0592
Br  0.5994  0.3144  0.8961
Br  0.7876  0.0592  0.4377
Br  0.8961  0.5994  0.3144

Top 10 peaks for 10 to 80 degrees two-theta, low angle first:
| 2θ/deg | d/Å | intensity |
| --- | --- | --- |
| 14.55 | 6.087 | 18.7 |
| 16.49 | 5.375 | 49.9 |
| 22.69 | 3.920 | 15.5 |
| 27.67 | 3.224 | 100.0 |
| 33.34 | 2.688 | 18.0 |
| 36.47 | 2.463 | 54.8 |
| 37.48 | 2.399 | 14.6 |
| 41.56 | 2.173 | 14.7 |
| 42.40 | 2.132 | 37.3 |
| 48.05 | 1.894 | 23.9 |


Diffraction record for Tl2CuCl5. The X-ray diffraction stick pattern is calculated, not measured: it uses a structure optimized by DFT (PBE) and Cu Kα (weighted mean of Kα1 and Kα2).
No peak broadening, texture or thermal motion is included.

Atomic structure:
Cell lengths 7.1460, 7.1460, 9.1856 Å; angles 90.00, 90.00, 90.00 degrees
Element x y z (fractional)
Tl  0.0000  0.5000  0.0000
Tl  0.0000  0.5000  0.5000
Tl  0.5000  0.0000  0.0000
Tl  0.5000  0.0000  0.5000
Cu  0.0000  0.0000  0.2389
Cu  0.5000  0.5000  0.7389
Cl  0.0000  0.0000  0.9574
Cl  0.2193  0.2193  0.2695
Cl  0.2193  0.7807  0.2695
Cl  0.2807  0.2807  0.7695
Cl  0.2807  0.7193  0.7695
Cl  0.5000  0.5000  0.4574
Cl  0.7193  0.2807  0.7695
Cl  0.7193  0.7193  0.7695
Cl  0.7807  0.2193  0.2695
Cl  0.7807  0.7807  0.2695

Top 10 peaks for 10 to 80 degrees two-theta, low angle first:
| 2θ/deg | d/Å | intensity |
| --- | --- | --- |
| 15.71 | 5.640 | 16.6 |
| 17.55 | 5.053 | 52.7 |
| 24.92 | 3.573 | 38.9 |
| 26.22 | 3.399 | 100.0 |
| 31.73 | 2.820 | 81.5 |
| 35.53 | 2.526 | 46.1 |
| 39.89 | 2.260 | 16.5 |
| 44.69 | 2.028 | 45.1 |
| 53.96 | 1.699 | 24.0 |
| 61.44 | 1.509 | 20.4 |


Diffraction record for PuAlGa. The X-ray diffraction stick pattern is calculated, not measured: it uses a structure optimized by DFT (PBE) and Cu Kα (weighted mean of Kα1 and Kα2).
No peak broadening, texture or thermal motion is included.

Atomic structure:
Cell lengths 3.2443, 3.2443, 11.5915 Å; angles 90.00, 90.00, 90.00 degrees
Element x y z (fractional)
Pu  0.0000  0.0000  0.0000
Pu  0.5000  0.5000  0.5000
Al  0.0000  0.0000  0.6862
Al  0.5000  0.5000  0.1862
Ga  0.0000  0.0000  0.3175
Ga  0.5000  0.5000  0.8175

Top 10 peaks for 10 to 80 degrees two-theta, low angle first:
| 2θ/deg | d/Å | intensity |
| --- | --- | --- |
| 15.29 | 5.796 | 50.4 |
| 28.57 | 3.124 | 65.5 |
| 30.86 | 2.898 | 18.1 |
| 36.15 | 2.485 | 100.0 |
| 39.27 | 2.294 | 41.1 |
| 42.38 | 2.133 | 17.5 |
| 50.76 | 1.799 | 18.8 |
| 56.75 | 1.622 | 14.2 |
| 62.89 | 1.478 | 18.7 |
| 69.16 | 1.358 | 30.7 |


Diffraction record for Cs2NbBr5. The X-ray diffraction stick pattern is calculated, not measured: it uses a structure optimized by DFT (PBE) and Cu Kα (weighted mean of Kα1 and Kα2).
No peak broadening, texture or thermal motion is included.

Atomic structure:
Cell lengths 9.9283, 7.6605, 16.0807 Å; angles 90.00, 90.00, 90.00 degrees
Element x y z (fractional)
Cs  0.0250  0.2500  0.2064
Cs  0.1615  0.7500  0.4188
Cs  0.3385  0.2500  0.9188
Cs  0.4750  0.7500  0.7064
Cs  0.5250  0.2500  0.2936
Cs  0.6615  0.7500  0.0812
Cs  0.8385  0.2500  0.5812
Cs  0.9750  0.7500  0.7936
Nb  0.1673  0.7500  0.0606
Nb  0.3327  0.2500  0.5606
Nb  0.6673  0.7500  0.4394
Nb  0.8327  0.2500  0.9394
Br  0.0000  0.0000  0.0000
Br  0.0000  0.5000  0.0000
Br  0.0236  0.7500  0.1989
Br  0.1745  0.0056  0.6171
Br  0.1745  0.4944  0.6171
Br  0.2030  0.2500  0.4129
Br  0.2970  0.7500  0.9129
Br  0.3255  0.5056  0.1171
Br  0.3255  0.9944  0.1171
Br  0.4764  0.2500  0.6989
Br  0.5000  0.0000  0.5000
Br  0.5000  0.5000  0.5000
Br  0.5236  0.7500  0.3011
Br  0.6745  0.0056  0.8829
Br  0.6745  0.4944  0.8829
Br  0.7030  0.2500  0.0871
Br  0.7970  0.7500  0.5871
Br  0.8255  0.5056  0.3829
Br  0.8255  0.9944  0.3829
Br  0.9764  0.2500  0.8011

Top 10 peaks for 10 to 80 degrees two-theta, low angle first:
| 2θ/deg | d/Å | intensity |
| --- | --- | --- |
| 21.03 | 4.224 | 44.9 |
| 27.31 | 3.266 | 69.6 |
| 27.52 | 3.241 | 70.3 |
| 28.57 | 3.124 | 57.3 |
| 29.19 | 3.060 | 95.1 |
| 29.98 | 2.980 | 72.3 |
| 30.06 | 2.973 | 76.2 |
| 31.53 | 2.837 | 100.0 |
| 33.97 | 2.639 | 65.5 |
| 46.79 | 1.942 | 59.3 |


Diffraction record for Ca6HgPd. The X-ray diffraction stick pattern is calculated, not measured: it uses a structure optimized by DFT (PBE) and Cu Kα (weighted mean of Kα1 and Kα2).
No peak broadening, texture or thermal motion is included.

Atomic structure:
Cell lengths 5.2663, 5.2663, 19.0201 Å; angles 90.00, 90.00, 90.00 degrees
Element x y z (fractional)
Ca  0.0000  0.0000  0.2499
Ca  0.0000  0.0000  0.7501
Ca  0.0000  0.5000  0.0930
Ca  0.0000  0.5000  0.4070
Ca  0.0000  0.5000  0.5930
Ca  0.0000  0.5000  0.9070
Ca  0.5000  0.0000  0.0930
Ca  0.5000  0.0000  0.4070
Ca  0.5000  0.0000  0.5930
Ca  0.5000  0.0000  0.9070
Ca  0.5000  0.5000  0.2501
Ca  0.5000  0.5000  0.7499
Hg  0.0000  0.0000  0.0000
Hg  0.5000  0.5000  0.5000
Pd  0.0000  0.0000  0.5000
Pd  0.5000  0.5000  0.0000

Top 10 peaks for 10 to 80 degrees two-theta, low angle first:
| 2θ/deg | d/Å | intensity |
| --- | --- | --- |
| 18.66 | 4.755 | 23.4 |
| 23.90 | 3.724 | 17.0 |
| 30.49 | 2.932 | 100.0 |
| 34.05 | 2.633 | 45.0 |
| 35.37 | 2.538 | 21.6 |
| 37.25 | 2.414 | 34.3 |
| 39.10 | 2.304 | 14.9 |
| 45.25 | 2.004 | 22.5 |
| 48.92 | 1.862 | 15.5 |
| 58.74 | 1.572 | 30.3 |


Diffraction record for Ce3PuGe3. The X-ray diffraction stick pattern is calculated, not measured: it uses a structure optimized by DFT (PBE) and Cu Kα (weighted mean of Kα1 and Kα2).
No peak broadening, texture or thermal motion is included.

Atomic structure:
Cell lengths 6.3655, 6.3655, 8.8212 Å; angles 91.06, 91.06, 101.84 degrees
Element x y z (fractional)
Ce  0.1754  0.8246  0.0000
Ce  0.2242  0.7758  0.5000
Ce  0.4955  0.4955  0.7972
Ce  0.5045  0.5045  0.2028
Ce  0.7758  0.2242  0.5000
Ce  0.8246  0.1754  0.0000
Pu  0.2466  0.2466  0.4304
Pu  0.7534  0.7534  0.5696
Ge  0.0077  0.4978  0.7584
Ge  0.0902  0.0902  0.7379
Ge  0.4978  0.0077  0.7584
Ge  0.5022  0.9923  0.2416
Ge  0.9098  0.9098  0.2621
Ge  0.9923  0.5022  0.2416

Top 10 peaks for 10 to 80 degrees two-theta, low angle first:
| 2θ/deg | d/Å | intensity |
| --- | --- | --- |
| 10.03 | 8.817 | 57.9 |
| 24.65 | 3.611 | 24.3 |
| 25.01 | 3.560 | 54.8 |
| 29.31 | 3.047 | 27.6 |
| 30.66 | 2.916 | 47.2 |
| 33.41 | 2.682 | 49.4 |
| 34.89 | 2.571 | 100.0 |
| 35.68 | 2.517 | 98.0 |
| 36.36 | 2.471 | 46.6 |
| 45.21 | 2.006 | 32.1 |


Diffraction record for Tl12GeAu7. The X-ray diffraction stick pattern is calculated, not measured: it uses a structure optimized by DFT (PBE) and Cu Kα (weighted mean of Kα1 and Kα2).
No peak broadening, texture or thermal motion is included.

Atomic structure:
Cell lengths 10.2971, 10.2971, 10.2971 Å; angles 116.25, 116.25, 116.25 degrees
Element x y z (fractional)
Tl  0.0000  0.4096  0.5904
Tl  0.0000  0.5904  0.4096
Tl  0.0595  0.0595  0.3828
Tl  0.0595  0.3828  0.0595
Tl  0.3828  0.0595  0.0595
Tl  0.4096  0.0000  0.5904
Tl  0.4096  0.5904  0.0000
Tl  0.5904  0.0000  0.4096
Tl  0.5904  0.4096  0.0000
Tl  0.6172  0.9405  0.9405
Tl  0.9405  0.6172  0.9405
Tl  0.9405  0.9405  0.6172
Ge  0.5000  0.5000  0.5000
Au  0.0000  0.0000  0.0000
Au  0.1600  0.4047  0.4047
Au  0.4047  0.1600  0.4047
Au  0.4047  0.4047  0.1600
Au  0.5953  0.5953  0.8400
Au  0.5953  0.8400  0.5953
Au  0.8400  0.5953  0.5953

Top 10 peaks for 10 to 80 degrees two-theta, low angle first:
| 2θ/deg | d/Å | intensity |
| --- | --- | --- |
| 29.64 | 3.014 | 42.8 |
| 30.67 | 2.915 | 49.4 |
| 31.82 | 2.812 | 61.9 |
| 33.06 | 2.709 | 100.0 |
| 36.20 | 2.482 | 35.3 |
| 36.57 | 2.457 | 50.8 |
| 37.07 | 2.425 | 65.9 |
| 42.19 | 2.142 | 48.2 |
| 51.93 | 1.761 | 45.9 |
| 66.25 | 1.411 | 28.4 |


Diffraction record for Sr2Zn5Cu3. The X-ray diffraction stick pattern is calculated, not measured: it uses a structure optimized by DFT (PBE) and Cu Kα (weighted mean of Kα1 and Kα2).
No peak broadening, texture or thermal motion is included.

Atomic structure:
Cell lengths 4.4229, 4.4229, 10.1215 Å; angles 90.00, 90.00, 90.00 degrees
Element x y z (fractional)
Sr  0.0000  0.5000  0.2396
Sr  0.5000  0.0000  0.7604
Zn  0.0000  0.0000  0.5000
Zn  0.0000  0.5000  0.6351
Zn  0.5000  0.0000  0.3649
Zn  0.5000  0.5000  0.0000
Zn  0.5000  0.5000  0.5000
Cu  0.0000  0.0000  0.0000
Cu  0.0000  0.5000  0.8830
Cu  0.5000  0.0000  0.1170

Top 10 peaks for 10 to 80 degrees two-theta, low angle first:
| 2θ/deg | d/Å | intensity |
| --- | --- | --- |
| 33.40 | 2.682 | 63.5 |
| 33.69 | 2.660 | 100.0 |
| 40.80 | 2.211 | 74.9 |
| 46.15 | 1.967 | 28.2 |
| 49.52 | 1.841 | 20.6 |
| 53.72 | 1.706 | 31.5 |
| 59.08 | 1.564 | 23.9 |
| 62.56 | 1.485 | 13.8 |
| 66.04 | 1.415 | 16.6 |
| 69.76 | 1.348 | 22.4 |


Diffraction record for Pm3TmB2N6. The X-ray diffraction stick pattern is calculated, not measured: it uses a structure optimized by DFT (PBE) and Cu Kα (weighted mean of Kα1 and Kα2).
No peak broadening, texture or thermal motion is included.

Atomic structure:
Cell lengths 5.5781, 5.5781, 6.2681 Å; angles 90.00, 90.00, 120.00 degrees
Element x y z (fractional)
Pm  0.0000  0.0000  0.0000
Pm  0.3333  0.6667  0.6611
Pm  0.6667  0.3333  0.3389
Tm  0.0000  0.0000  0.5000
B  0.3333  0.6667  0.2482
B  0.6667  0.3333  0.7518
N  0.1837  0.3673  0.2752
N  0.1837  0.8163  0.2752
N  0.3673  0.1837  0.7248
N  0.6327  0.8163  0.2752
N  0.8163  0.1837  0.7248
N  0.8163  0.6327  0.7248

Top 10 peaks for 10 to 80 degrees two-theta, low angle first:
| 2θ/deg | d/Å | intensity |
| --- | --- | --- |
| 14.13 | 6.268 | 24.1 |
| 18.37 | 4.831 | 28.5 |
| 23.25 | 3.826 | 38.9 |
| 32.09 | 2.789 | 100.0 |
| 34.10 | 2.629 | 92.4 |
| 40.00 | 2.254 | 22.7 |
| 47.53 | 1.913 | 44.1 |
| 57.21 | 1.610 | 19.3 |
| 58.50 | 1.578 | 36.7 |
| 77.48 | 1.232 | 17.7 |


Diffraction record for Pm2Nd7Mg2. The X-ray diffraction stick pattern is calculated, not measured: it uses a structure optimized by DFT (PBE) and Cu Kα (weighted mean of Kα1 and Kα2).
No peak broadening, texture or thermal motion is included.

Atomic structure:
Cell lengths 7.9810, 7.9810, 6.2176 Å; angles 104.74, 104.74, 94.14 degrees
Element x y z (fractional)
Pm  0.2059  0.2059  0.0939
Pm  0.7941  0.7941  0.9061
Nd  0.0000  0.0000  0.5000
Nd  0.0623  0.5807  0.3119
Nd  0.4193  0.9377  0.6881
Nd  0.4199  0.4199  0.7010
Nd  0.5801  0.5801  0.2990
Nd  0.5807  0.0623  0.3119
Nd  0.9377  0.4193  0.6881
Mg  0.2307  0.7693  0.0000
Mg  0.7693  0.2307  0.0000

Top 10 peaks for 10 to 80 degrees two-theta, low angle first:
| 2θ/deg | d/Å | intensity |
| --- | --- | --- |
| 23.30 | 3.818 | 15.6 |
| 26.34 | 3.384 | 42.2 |
| 29.86 | 2.992 | 36.4 |
| 30.60 | 2.922 | 55.6 |
| 31.55 | 2.836 | 100.0 |
| 33.22 | 2.697 | 24.2 |
| 34.25 | 2.618 | 28.1 |
| 37.10 | 2.423 | 16.8 |
| 45.64 | 1.988 | 20.4 |
| 54.99 | 1.670 | 19.5 |


Diffraction record for BaMgAl3P2H2O14. The X-ray diffraction stick pattern is calculated, not measured: it uses a structure optimized by DFT (PBE) and Cu Kα (weighted mean of Kα1 and Kα2).
No peak broadening, texture or thermal motion is included.

Atomic structure:
Cell lengths 7.2280, 7.2280, 7.6395 Å; angles 118.53, 118.53, 54.76 degrees
Element x y z (fractional)
Ba  0.0000  0.0000  0.0000
Mg  0.7050  0.7050  0.8226
Al  0.4400  0.9528  0.4810
Al  0.9528  0.4400  0.4810
Al  0.9535  0.9535  0.4606
P  0.2287  0.2287  0.8622
P  0.6635  0.6635  0.1151
H  0.2828  0.2828  0.3505
H  0.5520  0.5520  0.4285
O  0.0636  0.4598  0.7786
O  0.0853  0.0853  0.7508
O  0.1998  0.8710  0.3853
O  0.2575  0.2575  0.4518
O  0.2917  0.2917  0.0935
O  0.4515  0.8304  0.2057
O  0.4598  0.0636  0.7786
O  0.5764  0.5764  0.8783
O  0.6423  0.6423  0.5222
O  0.7389  0.9703  0.5644
O  0.7996  0.7996  0.1626
O  0.8304  0.4515  0.2057
O  0.8710  0.1998  0.3853
O  0.9703  0.7389  0.5644

Top 10 peaks for 10 to 80 degrees two-theta, low angle first:
| 2θ/deg | d/Å | intensity |
| --- | --- | --- |
| 14.66 | 6.042 | 31.9 |
| 15.64 | 5.664 | 100.0 |
| 16.38 | 5.411 | 24.4 |
| 24.75 | 3.597 | 31.3 |
| 26.82 | 3.324 | 32.3 |
| 27.72 | 3.219 | 23.0 |
| 28.13 | 3.172 | 59.8 |
| 28.69 | 3.111 | 32.2 |
| 30.26 | 2.954 | 38.6 |
| 35.75 | 2.512 | 49.4 |